# 1
For Sm4GePbC, a cell relaxed with PBE gives the simulated PXRD pattern in this record (λ = 1.5418 Å (Cu Kα)).
Neutral-atom scattering factors, no anomalous dispersion.

Cell and atoms:
a = 6.919 Å, b = 16.055 Å, c = 6.924 Å
α = 90.00°, β = 90.00°, γ = 90.00°
Space group Cmcm (No. 63)
Symmetry-distinct sites (fractional):
Sm (0.000, 0.081, 0.250)
Sm (0.000, 0.410, 0.250)
Sm (0.250, 0.250, 0.000)
Ge (0.000, 0.116, 0.750)
Pb (0.000, 0.392, 0.750)
C (0.000, 0.248, 0.250)

Largest 10 diffraction maxima, by angle, 10 to 80 degrees two-theta:
2theta, I (rel.), (hkl)
25.74, 19, 2 0 0
28.08, 78, 2 2 0
33.49, 30, 0 6 0
34.21, 100, 2 4 0
36.73, 66, 2 0 2
50.53, 44, 2 6 2
52.91, 23, 4 0 0
60.97, 18, 4 2 2
64.08, 20, 4 6 0
64.54, 32, 4 4 2

***

# 2
For Nb12Al3Ge, a cell relaxed with PBE gives the simulated PXRD pattern in this record (λ = 1.5418 Å (Cu Kα)).
Neutral-atom scattering factors, no anomalous dispersion.

Cell and atoms:
a = 5.213 Å, b = 5.213 Å, c = 10.374 Å
α = 90.00°, β = 90.00°, γ = 90.00°
Space group Pmmm (No. 47)
Symmetry-distinct sites (fractional):
Nb (0.000, 0.000, 0.125)
Nb (0.000, 0.000, 0.375)
Nb (0.250, 0.500, 0.000)
Nb (0.253, 0.500, 0.500)
Nb (0.500, 0.251, 0.249)
Al (0.000, 0.500, 0.250)
Al (0.500, 0.000, 0.500)
Ge (0.500, 0.000, 0.000)

Largest 10 diffraction maxima, by angle, 10 to 80 degrees two-theta:
2theta, I (rel.), (hkl)
24.18, 23, 1 1 0
34.41, 17, 2 0 0
38.64, 100, 0 2 2
38.78, 50, 1 0 4
42.51, 38, 2 1 2
42.62, 18, 1 1 4
61.75, 20, 2 2 4
64.45, 11, 2 3 0
67.26, 19, 3 1 4
72.53, 11, 4 0 0

***

# 3
For Pu2SeO4, a cell relaxed with PBE gives the simulated PXRD pattern in this record (λ = 1.5418 Å (Cu Kα)).
Neutral-atom scattering factors, no anomalous dispersion.

Cell and atoms:
a = 3.7164 Å, b = 3.7164 Å, c = 26.5093 Å
α = 90.00°, β = 90.00°, γ = 120.00°
Space group R-3m (No. 166, hexagonal axes)
Symmetry-distinct sites (fractional):
Pu (0.0000, 0.0000, 0.2270)
Se (0.0000, 0.0000, 0.0000)
O (0.0000, 0.0000, 0.1383)
O (0.0000, 0.0000, 0.4183)

Largest 10 diffraction maxima, by angle, 10 to 80 degrees two-theta:
2theta, I (rel.), (hkl)
10.01, 53, 0 0 3
20.10, 30, 0 0 6
28.54, 86, 0 1 2
30.35, 56, 0 0 9
30.89, 100, 1 0 4
32.55, 81, 0 1 5
47.11, 35, 0 1 11
49.02, 58, 1 1 0
53.17, 32, 1 0 13
58.75, 53, 1 1 9

***

# 4
For CsAsF4, a cell relaxed with PBE gives the simulated PXRD pattern in this record (λ = 1.5418 Å (Cu Kα)).
Neutral-atom scattering factors, no anomalous dispersion.

Cell and atoms:
a = 6.768 Å, b = 4.872 Å, c = 8.741 Å
α = 90.00°, β = 112.70°, γ = 90.00°
Space group P2_1 (No. 4)
Symmetry-distinct sites (fractional):
Cs (0.188, 0.000, 0.283)
As (0.343, 0.993, 0.808)
F (0.112, 0.939, 0.620)
F (0.137, 0.022, 0.913)
F (0.335, 0.364, 0.795)
F (0.492, 0.505, 0.332)

Largest 10 diffraction maxima, by angle, 10 to 80 degrees two-theta:
2theta, I (rel.), (hkl)
22.05, 45, 0 0 2
23.16, 100, 1 1 0
26.34, 14, 2 0 -1
28.02, 31, 1 1 -2
28.61, 18, 2 0 -2
34.12, 13, 2 1 -2
34.60, 18, 2 0 1
35.92, 23, 1 1 2
36.90, 21, 0 2 0
43.40, 13, 0 2 2

***

# 5
For Sm2SbRh3, a cell relaxed with PBE gives the simulated PXRD pattern in this record (λ = 1.5418 Å (Cu Kα)).
Neutral-atom scattering factors, no anomalous dispersion.

Cell and atoms:
a = 5.7386 Å, b = 5.7386 Å, c = 12.5000 Å
α = 90.00°, β = 90.00°, γ = 120.00°
Space group R-3m (No. 166, hexagonal axes)
Symmetry-distinct sites (fractional):
Sm (0.0000, 0.0000, 0.1262)
Sb (0.0000, 0.0000, 0.5000)
Rh (0.0000, 0.5000, 0.0000)

Largest 10 diffraction maxima, by angle, 10 to 80 degrees two-theta:
2theta, I (rel.), (hkl)
31.17, 43, 1 1 0
33.89, 28, 1 0 4
36.88, 46, 0 2 1
38.08, 100, 1 1 3
39.01, 45, 2 0 2
40.39, 40, 0 1 5
60.11, 26, 3 0 3
61.78, 23, 1 2 5
65.01, 28, 2 2 0
71.30, 21, 2 0 8

***

# 6
For TlAsPbAu, a cell relaxed with PBE gives the simulated PXRD pattern in this record (λ = 1.5418 Å (Cu Kα)).
Neutral-atom scattering factors, no anomalous dispersion.

Cell and atoms:
a = 7.369 Å, b = 7.369 Å, c = 7.369 Å
α = 90.00°, β = 90.00°, γ = 90.00°
Space group F-43m (No. 216)
Symmetry-distinct sites (fractional):
Tl (0.000, 0.000, 0.000)
As (0.250, 0.250, 0.250)
Pb (0.000, 0.000, 0.500)
Au (0.250, 0.250, 0.750)

Largest 10 diffraction maxima, by angle, 10 to 80 degrees two-theta:
2theta, I (rel.), (hkl)
20.88, 7, 1 1 1
24.16, 4, 2 0 0
34.42, 100, 2 2 0
40.61, 4, 3 1 1
49.48, 18, 4 0 0
54.26, 2, 3 3 1
55.79, 2, 4 2 0
61.67, 38, 4 2 2
72.57, 12, 4 4 0
76.48, 1, 5 3 1

***

# 7
For Pr6Lu, a cell relaxed with PBE gives the simulated PXRD pattern in this record (λ = 1.5418 Å (Cu Kα)).
Neutral-atom scattering factors, no anomalous dispersion.

Cell and atoms:
a = 8.286 Å, b = 8.286 Å, c = 8.286 Å
α = 90.00°, β = 90.00°, γ = 90.00°
Space group Im-3m (No. 229)
Symmetry-distinct sites (fractional):
Pr (0.000, 0.250, 0.500)
Lu (0.000, 0.000, 0.000)

Largest 10 diffraction maxima, by angle, 10 to 80 degrees two-theta:
2theta, I (rel.), (hkl)
21.45, 41, 2 0 0
26.35, 100, 2 1 1
37.60, 29, 2 2 2
40.74, 63, 3 2 1
43.70, 32, 4 0 0
49.17, 18, 4 2 0
51.75, 16, 3 3 2
61.27, 19, 5 2 1
63.51, 21, 4 4 0
69.99, 19, 6 1 1

***

# 8
For K3PtRh3O8, a cell relaxed with PBE gives the simulated PXRD pattern in this record (λ = 1.5418 Å (Cu Kα)).
Neutral-atom scattering factors, no anomalous dispersion.

Cell and atoms:
a = 6.4016 Å, b = 6.4016 Å, c = 17.7575 Å
α = 90.00°, β = 90.00°, γ = 120.00°
Space group R-3m (No. 166, hexagonal axes)
Symmetry-distinct sites (fractional):
K (0.0000, 0.5000, 0.0000)
Pt (0.0000, 0.0000, 0.5000)
Rh (0.0000, 0.5000, 0.5000)
O (0.0000, 0.0000, 0.2229)
O (0.0017, 0.5009, 0.2217)

Largest 10 diffraction maxima, by angle, 10 to 80 degrees two-theta:
2theta, I (rel.), (hkl)
14.97, 100, 0 0 3
16.75, 18, 1 0 1
30.20, 28, 0 0 6
32.70, 28, 0 2 1
33.88, 50, 2 0 2
38.28, 75, 0 2 4
48.65, 18, 0 2 7
52.84, 23, 2 0 8
57.59, 23, 2 2 0
66.41, 18, 2 2 6

***

- Which formula does entry 6 have?
  TlAsPbAu